Starting from a cell relaxed with PBE+U, the X-ray powder pattern of KBaFeO3 was computed for Cu Kα (weighted mean of Kα1 and Kα2).
Peak positions follow from Bragg's law for the DFT cell and can differ from measured ones.

Principal peaks in the range 2θ from 15° to 90°, low angle first:
2theta, I/Imax, h k l
15.11, 42, 0 2 0
18.11, 61, 1 1 1
25.59, 62, 0 2 3
27.49, 33, 0 0 4
28.20, 99, 1 3 1
30.16, 100, 2 0 0
30.67, 76, 1 3 2
32.37, 78, 1 1 4
39.96, 44, 2 2 3
41.26, 33, 2 0 4

Structural model:
a b c (Å): 5.926 11.728 12.978
angles (deg): 90.00 90.00 90.00
Space group Cmce (No. 64)
Inequivalent atoms, fractional coordinates:
K: 0.000 0.046 0.140
Ba: 0.000 0.143 0.581
Fe: 0.000 0.230 0.336
O: 0.000 0.076 0.377
O: 0.000 0.171 0.951
O: 0.250 0.228 0.750